Entry 1:
The following is a simulated X-ray powder pattern of ZrPd. It was derived from a structure optimized by DFT (PBE), using a wavelength of 1.5418 Å.
Intensities are scaled so that the largest is 100.

Atomic structure:
```
data_ZrPd
_chemical_formula_sum 'Zr2 Pd2'
_symmetry_space_group_name_H-M 'P 1'
_symmetry_Int_Tables_number 1
_symmetry_space_group_name_Hall 'P 1'
_cell_length_a 5.482
_cell_length_b 5.482
_cell_length_c 4.441
_cell_angle_alpha 90.00
_cell_angle_beta 90.00
_cell_angle_gamma 144.51
loop_
_atom_site_label
_atom_site_fract_x
_atom_site_fract_y
_atom_site_fract_z
_atom_site_occupancy
Zr1 0.142 0.858 0.750 1
Zr2 0.858 0.142 0.250 1
Pd1 0.412 0.588 0.750 1
Pd2 0.588 0.412 0.250 1
```

Main lines, sorted by position (2θ = 15–90°):
2θ (°)	I (rel.)
34.35	34
34.68	100
40.06	31
40.63	39
42.68	73
54.23	18
54.97	16
70.13	24
70.55	14
83.21	13

Entry 2:
The following is a simulated X-ray powder pattern of HoCdAu. It was derived from a structure optimized by DFT (PBE), using a wavelength of 1.5418 Å.
Intensities are scaled so that the largest is 100.

Atomic structure:
```
data_HoCdAu
_chemical_formula_sum 'Ho3 Cd3 Au3'
_symmetry_space_group_name_H-M 'P 1'
_symmetry_Int_Tables_number 1
_symmetry_space_group_name_Hall 'P 1'
_cell_length_a 7.905
_cell_length_b 7.905
_cell_length_c 3.805
_cell_angle_alpha 90.00
_cell_angle_beta 90.00
_cell_angle_gamma 120.00
loop_
_atom_site_label
_atom_site_fract_x
_atom_site_fract_y
_atom_site_fract_z
_atom_site_occupancy
Ho1 0.000 0.595 0.000 1
Ho2 0.405 0.405 0.000 1
Ho3 0.595 0.000 0.000 1
Cd1 0.000 0.266 0.500 1
Cd2 0.266 0.000 0.500 1
Cd3 0.734 0.734 0.500 1
Au1 0.000 0.000 0.000 1
Au2 0.333 0.667 0.500 1
Au3 0.667 0.333 0.500 1
```

Main lines, sorted by position (2θ = 15–90°):
2θ (°)	I (rel.)
22.49	16
32.67	83
34.67	32
35.27	100
39.49	61
42.24	40
47.84	35
63.68	30
64.15	39
73.51	15

Entry 3:
The following is a simulated X-ray powder pattern of TiH10N3F5. It was derived from a structure optimized by DFT (PBE), using a wavelength of 1.5418 Å.
Intensities are scaled so that the largest is 100.

Atomic structure:
```
data_TiH10N3F5
_chemical_formula_sum 'Ti2 H20 N6 F10'
_symmetry_space_group_name_H-M 'P 1'
_symmetry_Int_Tables_number 1
_symmetry_space_group_name_Hall 'P 1'
_cell_length_a 6.958
_cell_length_b 6.958
_cell_length_c 12.413
_cell_angle_alpha 112.34
_cell_angle_beta 112.34
_cell_angle_gamma 62.90
loop_
_atom_site_label
_atom_site_fract_x
_atom_site_fract_y
_atom_site_fract_z
_atom_site_occupancy
Ti1 0.123 0.877 0.500 1
Ti2 0.877 0.123 0.000 1
H1 0.051 0.095 0.433 1
H2 0.095 0.051 0.933 1
H3 0.116 0.244 0.246 1
H4 0.138 0.163 0.366 1
H5 0.153 0.723 0.965 1
H6 0.155 0.408 0.382 1
H7 0.163 0.138 0.866 1
H8 0.174 0.367 0.847 1
H9 0.244 0.116 0.746 1
H10 0.367 0.174 0.347 1
H11 0.408 0.155 0.882 1
H12 0.521 0.785 0.088 1
H13 0.620 0.798 0.608 1
H14 0.688 0.818 0.032 1
H15 0.714 0.898 0.180 1
H16 0.723 0.153 0.465 1
H17 0.785 0.521 0.588 1
H18 0.798 0.620 0.108 1
H19 0.818 0.688 0.532 1
H20 0.898 0.714 0.680 1
N1 0.193 0.784 0.650 1
N2 0.195 0.244 0.335 1
N3 0.244 0.195 0.835 1
N4 0.680 0.780 0.103 1
N5 0.780 0.680 0.603 1
N6 0.784 0.193 0.150 1
F1 0.129 0.632 0.876 1
F2 0.154 0.867 0.072 1
F3 0.302 0.661 0.403 1
F4 0.364 0.986 0.604 1
F5 0.632 0.129 0.376 1
F6 0.661 0.302 0.903 1
F7 0.717 0.924 0.934 1
F8 0.867 0.154 0.572 1
F9 0.924 0.717 0.434 1
F10 0.986 0.364 0.104 1
```

Main lines, sorted by position (2θ = 15–90°):
2θ (°)	I (rel.)
15.95	67
16.68	17
17.20	100
18.50	22
18.85	23
24.43	27
25.82	28
26.10	20
28.88	19
44.21	14

Entry 4:
The following is a simulated X-ray powder pattern of GaAg. It was derived from a structure optimized by DFT (PBE), using a wavelength of 1.5418 Å.
Intensities are scaled so that the largest is 100.

Atomic structure:
```
data_GaAg
_chemical_formula_sum 'Ga1 Ag1'
_symmetry_space_group_name_H-M 'P 1'
_symmetry_Int_Tables_number 1
_symmetry_space_group_name_Hall 'P 1'
_cell_length_a 3.317
_cell_length_b 3.317
_cell_length_c 3.317
_cell_angle_alpha 90.00
_cell_angle_beta 90.00
_cell_angle_gamma 90.00
loop_
_atom_site_label
_atom_site_fract_x
_atom_site_fract_y
_atom_site_fract_z
_atom_site_occupancy
Ga1 0.000 0.000 0.000 1
Ag1 0.500 0.500 0.500 1
```

Main lines, sorted by position (2θ = 15–90°):
2θ (°)	I (rel.)
26.88	6
38.38	100
47.47	1
55.39	16
62.62	2
69.40	32
82.19	10
88.41	1

Entry 5:
The following is a simulated X-ray powder pattern of K2PrCuCl6. It was derived from a structure optimized by DFT (PBE), using a wavelength of 1.5418 Å.
Intensities are scaled so that the largest is 100.

Atomic structure:
```
data_K2PrCuCl6
_chemical_formula_sum 'K2 Pr1 Cu1 Cl6'
_symmetry_space_group_name_H-M 'P 1'
_symmetry_Int_Tables_number 1
_symmetry_space_group_name_Hall 'P 1'
_cell_length_a 7.473
_cell_length_b 7.473
_cell_length_c 7.473
_cell_angle_alpha 60.00
_cell_angle_beta 60.00
_cell_angle_gamma 60.00
loop_
_atom_site_label
_atom_site_fract_x
_atom_site_fract_y
_atom_site_fract_z
_atom_site_occupancy
K1 0.250 0.250 0.250 1
K2 0.750 0.750 0.750 1
Pr1 0.000 0.000 0.000 1
Cu1 0.500 0.500 0.500 1
Cl1 0.259 0.259 0.741 1
Cl2 0.259 0.741 0.259 1
Cl3 0.259 0.741 0.741 1
Cl4 0.741 0.259 0.259 1
Cl5 0.741 0.259 0.741 1
Cl6 0.741 0.741 0.259 1
```

Main lines, sorted by position (2θ = 15–90°):
2θ (°)	I (rel.)
16.78	93
23.81	95
33.93	100
38.08	45
41.88	42
48.74	65
51.91	23
60.72	21
66.17	22
81.45	26

Entry 6:
The following is a simulated X-ray powder pattern of GdCd3. It was derived from a structure optimized by DFT (PBE), using a wavelength of 1.5418 Å.
Intensities are scaled so that the largest is 100.

Atomic structure:
```
data_GdCd3
_chemical_formula_sum 'Gd2 Cd6'
_symmetry_space_group_name_H-M 'P 1'
_symmetry_Int_Tables_number 1
_symmetry_space_group_name_Hall 'P 1'
_cell_length_a 6.669
_cell_length_b 6.669
_cell_length_c 5.006
_cell_angle_alpha 90.00
_cell_angle_beta 90.00
_cell_angle_gamma 120.00
loop_
_atom_site_label
_atom_site_fract_x
_atom_site_fract_y
_atom_site_fract_z
_atom_site_occupancy
Gd1 0.333 0.667 0.250 1
Gd2 0.667 0.333 0.750 1
Cd1 0.162 0.325 0.750 1
Cd2 0.162 0.838 0.750 1
Cd3 0.325 0.162 0.250 1
Cd4 0.675 0.838 0.750 1
Cd5 0.838 0.162 0.250 1
Cd6 0.838 0.675 0.250 1
```

Main lines, sorted by position (2θ = 15–90°):
2θ (°)	I (rel.)
23.52	2
30.97	20
35.90	100
48.11	12
55.08	15
64.50	16
67.51	28
76.08	5
84.34	2
89.84	8

Entry 7:
The following is a simulated X-ray powder pattern of HoErCu2. It was derived from a structure optimized by DFT (PBE), using a wavelength of 1.5418 Å.
Intensities are scaled so that the largest is 100.

Atomic structure:
```
data_HoErCu2
_chemical_formula_sum 'Ho1 Er1 Cu2'
_symmetry_space_group_name_H-M 'P 1'
_symmetry_Int_Tables_number 1
_symmetry_space_group_name_Hall 'P 1'
_cell_length_a 4.806
_cell_length_b 4.806
_cell_length_c 4.806
_cell_angle_alpha 60.00
_cell_angle_beta 60.00
_cell_angle_gamma 60.00
loop_
_atom_site_label
_atom_site_fract_x
_atom_site_fract_y
_atom_site_fract_z
_atom_site_occupancy
Ho1 0.000 0.000 0.000 1
Er1 0.500 0.500 0.500 1
Cu1 0.250 0.250 0.250 1
Cu2 0.750 0.750 0.750 1
```

Main lines, sorted by position (2θ = 15–90°):
2θ (°)	I (rel.)
26.22	21
37.43	100
46.27	6
53.97	17
60.97	9
67.52	34
79.83	11
85.78	5

Entry 8:
The following is a simulated X-ray powder pattern of LiCu6OF11. It was derived from a structure optimized by DFT (PBE), using a wavelength of 1.5418 Å.
Intensities are scaled so that the largest is 100.

Atomic structure:
```
data_LiCu6OF11
_chemical_formula_sum 'Li1 Cu6 O1 F11'
_symmetry_space_group_name_H-M 'P 1'
_symmetry_Int_Tables_number 1
_symmetry_space_group_name_Hall 'P 1'
_cell_length_a 4.723
_cell_length_b 5.448
_cell_length_c 8.766
_cell_angle_alpha 88.99
_cell_angle_beta 89.42
_cell_angle_gamma 88.10
loop_
_atom_site_label
_atom_site_fract_x
_atom_site_fract_y
_atom_site_fract_z
_atom_site_occupancy
Li1 0.000 0.000 0.000 1
Cu1 0.218 0.443 0.292 1
Cu2 0.243 0.735 0.590 1
Cu3 0.427 0.187 0.848 1
Cu4 0.748 0.938 0.273 1
Cu5 0.783 0.273 0.567 1
Cu6 0.786 0.587 0.923 1
O1 0.056 0.483 0.494 1
F1 0.015 0.166 0.189 1
F2 0.080 0.773 0.836 1
F3 0.476 0.714 0.339 1
F4 0.481 0.028 0.656 1
F5 0.485 0.404 0.014 1
F6 0.525 0.207 0.349 1
F7 0.547 0.514 0.675 1
F8 0.603 0.908 0.977 1
F9 0.973 0.685 0.171 1
F10 0.982 0.980 0.505 1
F11 0.989 0.278 0.858 1
```

Main lines, sorted by position (2θ = 15–90°):
2θ (°)	I (rel.)
26.78	52
27.41	100
30.60	48
31.73	46
32.62	23
34.33	20
40.06	16
53.21	20
55.17	15
56.58	19